The following is a calculated powder diffractogram of SmAl4Ga. It was derived from a cell relaxed with GGA-PBE, using Cu Kα.

Main lines, low angle first (2θ = 10–80°):
- d 6.295, 14.1°, I 54, (0 2 0)
- d 3.148, 28.4°, I 18, (0 4 0)
- d 2.941, 30.4°, I 47, (1 1 1)
- d 2.454, 36.6°, I 100, (1 3 1)
- d 2.153, 42.0°, I 17, (0 0 2)
- d 2.125, 42.6°, I 17, (2 0 0)
- d 2.098, 43.1°, I 15, (0 6 0)
- d 1.293, 73.2°, I 13, (1 3 3)
- d 1.281, 74.0°, I 12, (3 3 1)
- d 1.270, 74.8°, I 12, (1 9 1)

Cell lengths 4.249, 12.591, 4.305 Å; angles 90.00, 90.00, 90.00 degrees
Space group Cmmm (No. 65)
Unique sites:
1 Sm 0.000 0.000 0.000 x2
2 Al 0.000 0.176 0.500 x4
3 Al 0.000 0.320 0.000 x4
4 Ga 0.000 0.500 0.500 x2